[1]
This entry pairs a crystal structure of KZr4Br with its calculated X-ray powder pattern. Radiation: λ = 1.5418 Å (Cu Kα). Structure: a cell relaxed with PBE.

a b c (Å): 8.754 8.754 8.754
angles (deg): 90.00 90.00 90.00
Space group F-43m (No. 216)
Inequivalent atoms, fractional coordinates:
K 0.000 0.000 0.000
Zr 0.130 0.130 0.630
Br 0.250 0.250 0.250

Principal peaks in the range 10° ≤ 2θ ≤ 80°, in order of falling intensity:
d_spacing, I (rel.), index
2.639, 100, 3 1 1
2.527, 55, 2 2 2
1.685, 35, 5 1 1
1.548, 30, 4 4 0
5.054, 24, 1 1 1
1.320, 20, 6 2 2
3.095, 16, 2 2 0
2.189, 12, 4 0 0
1.335, 11, 5 3 3
2.008, 8, 3 3 1

***

[2]
This entry pairs a crystal structure of TbMgNiGe2 with its calculated X-ray powder pattern. Radiation: λ = 1.5418 Å (Cu Kα). Structure: a cell relaxed with PBE.

a b c (Å): 5.498 5.769 5.768
angles (deg): 90.00 90.00 90.00
Space group Pmma (No. 51)
Inequivalent atoms, fractional coordinates:
Tb 0.250 0.000 0.238
Mg 0.250 0.500 0.379
Ni 0.000 0.500 0.000
Ge 0.250 0.231 0.762

Principal peaks in the range 10° ≤ 2θ ≤ 80°, in order of falling intensity:
d_spacing, I (rel.), index
2.336, 100, 1 2 1
1.990, 40, 2 0 2
2.580, 38, 0 1 2
3.276, 35, 1 1 1
2.884, 29, 0 0 2
2.482, 28, 2 1 0
2.749, 27, 2 0 0
5.769, 27, 0 1 0
1.494, 24, 3 2 1
1.731, 24, 1 3 1